Diffraction record for CaTbEuVO6. The X-ray powder pattern is simulated, not measured: it uses a PBE+U-relaxed structure and Cu Kα.

Largest 8 diffraction maxima, in order of rising 2θ, 10° ≤ 2θ ≤ 90°:
2θ = 18.79°, rel. 33
2θ = 30.92°, rel. 100
2θ = 36.43°, rel. 23
2θ = 44.29°, rel. 32
2θ = 55.00°, rel. 39
2θ = 64.44°, rel. 19
2θ = 73.18°, rel. 17
2θ = 89.70°, rel. 21

Structure:
Cell: 5.784 5.784 5.784 Å, 60.00 60.00 60.00°
Sites, in units of the cell vectors:
Ca  0.000  0.000  0.000
Tb  0.250  0.250  0.250
Eu  0.500  0.500  0.500
V  0.750  0.750  0.750
O  0.518  0.518  0.982
O  0.518  0.982  0.518
O  0.518  0.982  0.982
O  0.982  0.518  0.518
O  0.982  0.518  0.982
O  0.982  0.982  0.518